1.
Rb2W2Se5: theoretical powder diffraction line list (λ = 1.5418 Å (Cu Kα)), based on a cell relaxed with GGA-PBE.
Kinematic intensities with the Lorentz-polarization factor, no thermal factor.

Peak list (10 most intense, 15° ≤ 2θ ≤ 90°, in order of rising 2θ)
d (Å), Position (°2θ), I/Imax
5.811, 15.25, 654
3.985, 22.31, 1000
3.927, 22.64, 447
3.396, 26.24, 399
3.243, 27.50, 357
2.989, 29.90, 492
2.490, 36.08, 533
2.467, 36.42, 609
1.963, 46.24, 343
1.806, 50.54, 328

Crystal structure
Cell lengths 7.3161, 7.3161, 8.6828 Å; angles 98.98, 98.98, 39.42 degrees
Fractional coordinates of all 9 atoms:
Rb (0.0914, 0.0914, 0.3017)
Rb (0.9086, 0.9086, 0.6983)
W (0.3546, 0.3546, 0.1164)
W (0.6454, 0.6454, 0.8836)
Se (0.1909, 0.1909, 0.9359)
Se (0.3666, 0.3666, 0.3897)
Se (0.5000, 0.5000, 0.0000)
Se (0.6334, 0.6334, 0.6103)
Se (0.8091, 0.8091, 0.0641)

---

2.
RbYSe4: theoretical powder diffraction line list (λ = 1.5418 Å (Cu Kα)), based on a cell relaxed with GGA-PBE.
Kinematic intensities with the Lorentz-polarization factor, no thermal factor.

Peak list (10 most intense, 15° ≤ 2θ ≤ 90°, in order of rising 2θ)
d (Å), Position (°2θ), I/Imax
3.113, 28.68, 1000
2.901, 30.83, 170
2.681, 33.43, 831
2.552, 35.17, 324
2.365, 38.05, 235
2.021, 44.85, 127
1.992, 45.53, 418
1.722, 53.19, 222
1.481, 62.73, 224
1.405, 66.53, 136

Crystal structure
Cell lengths 6.3006, 6.3006, 8.7018 Å; angles 90.00, 90.00, 90.00 degrees
Fractional coordinates of all 12 atoms:
Rb (0.2500, 0.2500, 0.0000)
Rb (0.7500, 0.7500, 0.0000)
Y (0.2500, 0.2500, 0.5000)
Y (0.7500, 0.7500, 0.5000)
Se (0.1133, 0.6133, 0.3016)
Se (0.1133, 0.8867, 0.6984)
Se (0.3867, 0.6133, 0.6984)
Se (0.3867, 0.8867, 0.3016)
Se (0.6133, 0.1133, 0.6984)
Se (0.6133, 0.3867, 0.3016)
Se (0.8867, 0.1133, 0.3016)
Se (0.8867, 0.3867, 0.6984)

---

3.
Rb2Zn2Se3: theoretical powder diffraction line list (λ = 1.5418 Å (Cu Kα)), based on a cell relaxed with GGA-PBE.
Kinematic intensities with the Lorentz-polarization factor, no thermal factor.

Peak list (10 most intense, 15° ≤ 2θ ≤ 90°, in order of rising 2θ)
d (Å), Position (°2θ), I/Imax
3.632, 24.51, 419
3.593, 24.78, 756
3.417, 26.08, 219
3.234, 27.58, 668
3.051, 29.28, 726
2.924, 30.57, 210
2.800, 31.97, 1000
2.154, 41.95, 374
1.766, 51.77, 234
1.756, 52.08, 255

Crystal structure
Cell lengths 11.3101, 11.3101, 7.1739 Å; angles 107.66, 107.66, 82.33 degrees
Fractional coordinates of all 28 atoms:
Rb (0.0673, 0.9327, 0.7500)
Rb (0.2088, 0.7912, 0.2500)
Rb (0.3083, 0.4858, 0.4336)
Rb (0.4858, 0.3083, 0.9336)
Rb (0.5142, 0.6917, 0.0664)
Rb (0.6917, 0.5142, 0.5664)
Rb (0.7912, 0.2088, 0.7500)
Rb (0.9327, 0.0673, 0.2500)
Zn (0.0302, 0.5781, 0.7365)
Zn (0.1502, 0.3050, 0.8025)
Zn (0.3050, 0.1502, 0.3025)
Zn (0.4219, 0.9698, 0.7635)
Zn (0.5781, 0.0302, 0.2365)
Zn (0.6950, 0.8498, 0.6975)
Zn (0.8498, 0.6950, 0.1975)
Zn (0.9698, 0.4219, 0.2635)
Se (0.0474, 0.6429, 0.4367)
Se (0.1042, 0.2487, 0.0909)
Se (0.2440, 0.5125, 0.9150)
Se (0.2487, 0.1042, 0.5909)
Se (0.3571, 0.9526, 0.0633)
Se (0.4875, 0.7560, 0.5850)
Se (0.5125, 0.2440, 0.4150)
Se (0.6429, 0.0474, 0.9367)
Se (0.7513, 0.8958, 0.4091)
Se (0.7560, 0.4875, 0.0850)
Se (0.8958, 0.7513, 0.9091)
Se (0.9526, 0.3571, 0.5633)

---

4.
Rb2Zn2Se: theoretical powder diffraction line list (λ = 1.5418 Å (Cu Kα)), based on a cell relaxed with GGA-PBE.
Kinematic intensities with the Lorentz-polarization factor, no thermal factor.

Peak list (10 most intense, 15° ≤ 2θ ≤ 90°, in order of rising 2θ)
d (Å), Position (°2θ), I/Imax
3.150, 28.33, 704
2.924, 30.57, 1000
2.779, 32.22, 161
2.635, 34.02, 350
2.485, 36.14, 301
2.180, 41.43, 139
1.808, 50.48, 226
1.680, 54.65, 120
1.571, 58.76, 154
1.479, 62.82, 148

Crystal structure
Cell lengths 7.8590, 7.8590, 5.2699 Å; angles 90.00, 90.00, 90.00 degrees
Fractional coordinates of all 10 atoms:
Rb (0.1919, 0.3081, 0.0000)
Rb (0.3081, 0.8081, 0.0000)
Rb (0.6919, 0.1919, 0.0000)
Rb (0.8081, 0.6919, 0.0000)
Zn (0.1188, 0.6188, 0.5000)
Zn (0.3812, 0.1188, 0.5000)
Zn (0.6188, 0.8812, 0.5000)
Zn (0.8812, 0.3812, 0.5000)
Se (0.0000, 0.0000, 0.5000)
Se (0.5000, 0.5000, 0.5000)

---

5.
Rb2Zr4Se7: theoretical powder diffraction line list (λ = 1.5418 Å (Cu Kα)), based on a cell relaxed with GGA-PBE.
Kinematic intensities with the Lorentz-polarization factor, no thermal factor.

Peak list (10 most intense, 15° ≤ 2θ ≤ 90°, in order of rising 2θ)
d (Å), Position (°2θ), I/Imax
3.575, 24.91, 293
3.432, 25.96, 573
3.204, 27.84, 762
2.983, 29.95, 322
2.723, 32.89, 1000
2.476, 36.29, 438
2.105, 42.96, 279
1.981, 45.80, 698
1.874, 48.57, 426
1.650, 55.69, 230

Crystal structure
Cell lengths 6.8633, 6.8633, 8.9501 Å; angles 90.00, 90.00, 120.00 degrees
Fractional coordinates of all 13 atoms:
Rb (0.3333, 0.6667, 0.0000)
Rb (0.6667, 0.3333, 0.0000)
Zr (0.0000, 0.0000, 0.2999)
Zr (0.0000, 0.0000, 0.7001)
Zr (0.3333, 0.6667, 0.5000)
Zr (0.6667, 0.3333, 0.5000)
Se (0.0000, 0.0000, 0.0000)
Se (0.0000, 0.3816, 0.3062)
Se (0.0000, 0.6184, 0.6938)
Se (0.3816, 0.0000, 0.3062)
Se (0.3816, 0.3816, 0.6938)
Se (0.6184, 0.0000, 0.6938)
Se (0.6184, 0.6184, 0.3062)

---

6.
Rb4Zr3Se14: theoretical powder diffraction line list (λ = 1.5418 Å (Cu Kα)), based on a cell relaxed with GGA-PBE.
Kinematic intensities with the Lorentz-polarization factor, no thermal factor.

Peak list (10 most intense, 15° ≤ 2θ ≤ 90°, in order of rising 2θ)
d (Å), Position (°2θ), I/Imax
3.768, 23.61, 275
3.399, 26.21, 657
3.288, 27.12, 1000
2.990, 29.88, 303
2.861, 31.26, 484
2.712, 33.04, 506
2.481, 36.21, 323
2.445, 36.76, 314
2.412, 37.27, 291
2.294, 39.28, 271

Crystal structure
Cell lengths 12.2745, 12.2745, 14.6138 Å; angles 110.01, 110.01, 41.88 degrees
Fractional coordinates of all 42 atoms:
Rb (0.0167, 0.3763, 0.6028)
Rb (0.1801, 0.6810, 0.8520)
Rb (0.3190, 0.8199, 0.6480)
Rb (0.3763, 0.0167, 0.1028)
Rb (0.6237, 0.9833, 0.8972)
Rb (0.6810, 0.1801, 0.3520)
Rb (0.8199, 0.3190, 0.1480)
Rb (0.9833, 0.6237, 0.3972)
Zr (0.0753, 0.5888, 0.0867)
Zr (0.2384, 0.7616, 0.2500)
Zr (0.4112, 0.9247, 0.4133)
Zr (0.5888, 0.0753, 0.5867)
Zr (0.7616, 0.2384, 0.7500)
Zr (0.9247, 0.4112, 0.9133)
Se (0.0063, 0.4301, 0.1028)
Se (0.0741, 0.0901, 0.8657)
Se (0.0901, 0.0741, 0.3657)
Se (0.1270, 0.7998, 0.4026)
Se (0.1530, 0.1981, 0.3285)
Se (0.1981, 0.1530, 0.8285)
Se (0.2002, 0.8730, 0.0974)
Se (0.2573, 0.5428, 0.2835)
Se (0.3029, 0.4051, 0.6104)
Se (0.3400, 0.5312, 0.0795)
Se (0.4051, 0.3029, 0.1104)
Se (0.4301, 0.0063, 0.6028)
Se (0.4572, 0.7427, 0.2165)
Se (0.4688, 0.6600, 0.4205)
Se (0.5312, 0.3400, 0.5795)
Se (0.5428, 0.2573, 0.7835)
Se (0.5699, 0.9937, 0.3972)
Se (0.5949, 0.6971, 0.8896)
Se (0.6600, 0.4688, 0.9205)
Se (0.6971, 0.5949, 0.3896)
Se (0.7427, 0.4572, 0.7165)
Se (0.7998, 0.1270, 0.9026)
Se (0.8019, 0.8470, 0.1715)
Se (0.8470, 0.8019, 0.6715)
Se (0.8730, 0.2002, 0.5974)
Se (0.9099, 0.9259, 0.6343)
Se (0.9259, 0.9099, 0.1343)
Se (0.9937, 0.5699, 0.8972)

---

7.
RbSi23: theoretical powder diffraction line list (λ = 1.5418 Å (Cu Kα)), based on a cell relaxed with GGA-PBE.
Kinematic intensities with the Lorentz-polarization factor, no thermal factor.

Peak list (10 most intense, 15° ≤ 2θ ≤ 90°, in order of rising 2θ)
d (Å), Position (°2θ), I/Imax
4.595, 19.32, 450
2.746, 32.61, 1000
2.492, 36.04, 152
2.422, 37.12, 230
2.242, 40.22, 133
1.908, 47.66, 107
1.762, 51.89, 173
1.737, 52.70, 126
1.713, 53.51, 200
1.667, 55.10, 440

Crystal structure
Cell lengths 10.2753, 10.2753, 10.2753 Å; angles 90.00, 90.00, 90.00 degrees
Fractional coordinates of all 48 atoms:
Rb (0.0000, 0.0000, 0.0000)
Rb (0.5000, 0.5000, 0.5000)
Si (0.0000, 0.1173, 0.3094)
Si (0.0000, 0.1173, 0.6906)
Si (0.0000, 0.2500, 0.5000)
Si (0.0000, 0.7500, 0.5000)
Si (0.0000, 0.8827, 0.3094)
Si (0.0000, 0.8827, 0.6906)
Si (0.1173, 0.3094, 0.0000)
Si (0.1173, 0.6906, 0.0000)
Si (0.1848, 0.1848, 0.1848)
Si (0.1848, 0.1848, 0.8152)
Si (0.1848, 0.8152, 0.1848)
Si (0.1848, 0.8152, 0.8152)
Si (0.1906, 0.3827, 0.5000)
Si (0.1906, 0.6173, 0.5000)
Si (0.2500, 0.5000, 0.0000)
Si (0.3094, 0.0000, 0.1173)
Si (0.3094, 0.0000, 0.8827)
Si (0.3152, 0.3152, 0.3152)
Si (0.3152, 0.3152, 0.6848)
Si (0.3152, 0.6848, 0.3152)
Si (0.3152, 0.6848, 0.6848)
Si (0.3827, 0.5000, 0.1906)
Si (0.3827, 0.5000, 0.8094)
Si (0.5000, 0.0000, 0.2500)
Si (0.5000, 0.0000, 0.7500)
Si (0.5000, 0.1906, 0.3827)
Si (0.5000, 0.1906, 0.6173)
Si (0.5000, 0.8094, 0.3827)
Si (0.5000, 0.8094, 0.6173)
Si (0.6173, 0.5000, 0.1906)
Si (0.6173, 0.5000, 0.8094)
Si (0.6848, 0.3152, 0.3152)
Si (0.6848, 0.3152, 0.6848)
Si (0.6848, 0.6848, 0.3152)
Si (0.6848, 0.6848, 0.6848)
Si (0.6906, 0.0000, 0.1173)
Si (0.6906, 0.0000, 0.8827)
Si (0.7500, 0.5000, 0.0000)
Si (0.8094, 0.3827, 0.5000)
Si (0.8094, 0.6173, 0.5000)
Si (0.8152, 0.1848, 0.1848)
Si (0.8152, 0.1848, 0.8152)
Si (0.8152, 0.8152, 0.1848)
Si (0.8152, 0.8152, 0.8152)
Si (0.8827, 0.3094, 0.0000)
Si (0.8827, 0.6906, 0.0000)

---

8.
RbSi: theoretical powder diffraction line list (λ = 1.5418 Å (Cu Kα)), based on a cell relaxed with GGA-PBE.
Kinematic intensities with the Lorentz-polarization factor, no thermal factor.

Peak list (10 most intense, 15° ≤ 2θ ≤ 90°, in order of rising 2θ)
d (Å), Position (°2θ), I/Imax
5.155, 17.20, 860
3.491, 25.51, 975
3.438, 25.92, 690
3.204, 27.84, 421
3.155, 28.29, 566
3.096, 28.83, 936
3.041, 29.37, 995
3.017, 29.61, 996
2.577, 34.81, 377
2.025, 44.76, 1000

Crystal structure
Cell lengths 4.0496, 4.0514, 10.5004 Å; angles 99.17, 90.57, 119.97 degrees
Fractional coordinates of all 4 atoms:
Rb (0.0865, 0.1580, 0.2797)
Rb (0.9135, 0.8420, 0.7203)
Si (0.3233, 0.6484, 0.9677)
Si (0.6767, 0.3516, 0.0323)